The following is a theoretical X-ray powder pattern of Pu2S3. It was derived from the GGA-PBE geometry in Alexandria, using Cu Kα (λ = 1.5418 Å).

Crystal structure
a b c (Å): 3.5726 3.5726 15.8649
angles (deg): 90.00 90.00 90.00
Space group I4/mmm (No. 139)
One atom of each set of equivalent atoms:
Pu 0.0000 0.0000 0.1187 x4
S 0.0000 0.0000 0.3065 x4
S 0.0000 0.0000 0.5000 x2

Main lines, low angle first (2θ from 10° to 90°):
Position (°2θ)	d_spacing	intensity	hkl
22.42	3.966	69	0 0 4
25.56	3.485	94	1 0 1
30.19	2.960	53	1 0 3
35.54	2.526	81	1 1 0
37.93	2.372	100	1 0 5
42.42	2.131	55	1 1 4
51.13	1.786	29	2 0 0
56.50	1.629	25	2 0 4
58.02	1.590	22	2 1 1
65.40	1.427	41	2 1 5